1.
# Cs2SeF6
Theoretical powder diffraction line list, Cu Kα (weighted mean of Kα1 and Kα2). Input: a DFT-relaxed cell (PBE, Alexandria).

Crystal structure
Unit cell a=6.5561 b=6.5561 c=6.5561 alpha=60.00 beta=60.00 gamma=60.00
Fractional positions:
1 Cs 0.2500 0.2500 0.2500
2 Cs 0.7500 0.7500 0.7500
3 Se 0.0000 0.0000 0.0000
4 F 0.2124 0.2124 0.7876
5 F 0.2124 0.7876 0.2124
6 F 0.2124 0.7876 0.7876
7 F 0.7876 0.2124 0.2124
8 F 0.7876 0.2124 0.7876
9 F 0.7876 0.7876 0.2124

Top 6 peaks for 10 to 80 degrees two-theta, low angle first:
2θ 16.6, d = 5.353 Å, I = 28
2θ 27.2, d = 3.278 Å, I = 100
2θ 33.5, d = 2.677 Å, I = 34
2θ 38.9, d = 2.318 Å, I = 39
2θ 48.1, d = 1.893 Å, I = 38
2θ 56.1, d = 1.639 Å, I = 23

=====

2.
# Cs4SeF2
Theoretical powder diffraction line list, Cu Kα (weighted mean of Kα1 and Kα2). Input: a DFT-relaxed cell (PBE, Alexandria).

Crystal structure
Unit cell a=7.6191 b=7.6191 c=14.9191 alpha=90.00 beta=90.00 gamma=143.65
Fractional positions:
1 Cs 0.0000 0.0000 0.0000
2 Cs 0.0000 0.0000 0.5000
3 Cs 0.2742 0.7258 0.6109
4 Cs 0.2742 0.7258 0.8891
5 Cs 0.4349 0.5651 0.2500
6 Cs 0.5651 0.4349 0.7500
7 Cs 0.7258 0.2742 0.1109
8 Cs 0.7258 0.2742 0.3891
9 Se 0.1094 0.8906 0.2500
10 Se 0.8906 0.1094 0.7500
11 F 0.3703 0.6297 0.0580
12 F 0.3703 0.6297 0.4420
13 F 0.6297 0.3703 0.5580
14 F 0.6297 0.3703 0.9420

Top 6 peaks for 10 to 80 degrees two-theta, low angle first:
2θ 26.7, d = 3.343 Å, I = 74
2θ 26.9, d = 3.316 Å, I = 89
2θ 27.0, d = 3.302 Å, I = 100
2θ 29.0, d = 3.083 Å, I = 44
2θ 37.9, d = 2.376 Å, I = 33
2θ 47.0, d = 1.932 Å, I = 38

=====

3.
# CsTl2SeF
Theoretical powder diffraction line list, Cu Kα (weighted mean of Kα1 and Kα2). Input: a DFT-relaxed cell (PBE, Alexandria).

Crystal structure
Unit cell a=8.1123 b=4.5223 c=9.6063 alpha=90.00 beta=97.82 gamma=90.00
Fractional positions:
1 Cs 0.2239 0.2500 0.4673
2 Cs 0.7761 0.7500 0.5327
3 Tl 0.1263 0.2500 0.8778
4 Tl 0.3787 0.7500 0.1284
5 Tl 0.6213 0.2500 0.8716
6 Tl 0.8737 0.7500 0.1222
7 Se 0.3689 0.7500 0.8001
8 Se 0.6311 0.2500 0.1999
9 F 0.0348 0.7500 0.3537
10 F 0.9652 0.2500 0.6463

Top 6 peaks for 10 to 80 degrees two-theta, low angle first:
2θ 27.0, d = 3.299 Å, I = 58
2θ 27.2, d = 3.278 Å, I = 70
2θ 28.1, d = 3.172 Å, I = 42
2θ 29.7, d = 3.004 Å, I = 100
2θ 30.3, d = 2.952 Å, I = 37
2θ 39.9, d = 2.261 Å, I = 34

=====

4.
# CsSmZn2F8
Theoretical powder diffraction line list, Cu Kα (weighted mean of Kα1 and Kα2). Input: a DFT-relaxed cell (PBE, Alexandria).

Crystal structure
Unit cell a=9.9332 b=9.9332 c=9.9332 alpha=31.87 beta=31.87 gamma=31.87
Fractional positions:
1 Cs 0.0000 0.0000 0.0000
2 Sm 0.5000 0.5000 0.5000
3 Zn 0.2470 0.2470 0.2470
4 Zn 0.7530 0.7530 0.7530
5 F 0.1177 0.4721 0.7582
6 F 0.2418 0.5279 0.8823
7 F 0.3128 0.3128 0.3128
8 F 0.4721 0.7582 0.1177
9 F 0.5279 0.8823 0.2418
10 F 0.6872 0.6872 0.6872
11 F 0.7582 0.1177 0.4721
12 F 0.8823 0.2418 0.5279

Top 6 peaks for 10 to 80 degrees two-theta, low angle first:
2θ 22.6, d = 3.927 Å, I = 100
2θ 31.6, d = 2.829 Å, I = 32
2θ 32.8, d = 2.727 Å, I = 36
2θ 40.3, d = 2.240 Å, I = 19
2θ 51.3, d = 1.782 Å, I = 25
2θ 52.9, d = 1.731 Å, I = 19